# 1
Theoretical XRD peak list of KFe2NiCl8 for Cu Kα X-rays, from a PBE-relaxed structure.
Neutral-atom scattering factors, no anomalous dispersion.

Top 10 peaks for 2θ = 10–90°, by angle:
- 17.4 deg, I = 40, hkl 2 0 0
- 17.6 deg, I = 100, hkl 1 1 -1
- 20.8 deg, I = 43, hkl 2 0 1
- 24.2 deg, I = 55, hkl 1 1 -2
- 25.1 deg, I = 48, hkl 0 2 0
- 25.6 deg, I = 54, hkl 1 1 2
- 29.1 deg, I = 67, hkl 3 1 0
- 31.7 deg, I = 47, hkl 2 2 -1
- 32.1 deg, I = 52, hkl 0 2 2
- 49.9 deg, I = 56, hkl 4 2 2

Crystal structure
Lattice parameters (Å, degrees): 10.256 7.085 9.109 90.00 95.89 90.00
Space group C2/m (No. 12)
Asymmetric unit:
K 0.000 0.000 0.000 x2
Fe 0.120 0.500 0.291 x4
Ni 0.000 0.000 0.500 x2
Cl 0.010 0.243 0.697 x8
Cl 0.195 0.500 0.073 x4
Cl 0.233 0.000 0.510 x4

# 2
Theoretical XRD peak list of K3U3AuS8 for Cu Kα X-rays, from a PBE-relaxed structure.
Neutral-atom scattering factors, no anomalous dispersion.

Top 10 peaks for 2θ = 10–90°, by angle:
- 12.0 deg, I = 100, hkl 0 0 1
- 24.1 deg, I = 18, hkl 0 0 2
- 25.5 deg, I = 30, hkl 2 2 -1
- 26.2 deg, I = 29, hkl 2 2 0
- 30.2 deg, I = 54, hkl 2 2 -2
- 31.0 deg, I = 24, hkl 4 0 0
- 32.0 deg, I = 11, hkl 2 2 1
- 38.5 deg, I = 14, hkl 2 2 -3
- 40.9 deg, I = 20, hkl 2 2 2
- 46.5 deg, I = 15, hkl 6 2 -2

Crystal structure
Lattice parameters (Å, degrees): 13.230 8.404 8.472 90.00 119.28 90.00
Space group C2/m (No. 12)
Asymmetric unit:
K 0.000 0.000 0.000 x2
K 0.250 0.250 0.000 x4
U 0.000 0.500 0.500 x2
U 0.250 0.250 0.500 x4
Au 0.000 0.000 0.500 x2
S 0.027 0.291 0.284 x8
S 0.210 0.000 0.677 x4
S 0.237 0.500 0.704 x4

# 3
Theoretical XRD peak list of NaLaAgSn for Cu Kα X-rays, from a PBE-relaxed structure.
Neutral-atom scattering factors, no anomalous dispersion.

Top 10 peaks for 2θ = 10–90°, by angle:
- 20.3 deg, I = 19, hkl 1 1 1
- 23.5 deg, I = 4, hkl 2 0 0
- 33.5 deg, I = 100, hkl 2 2 0
- 39.5 deg, I = 10, hkl 3 1 1
- 48.1 deg, I = 18, hkl 4 0 0
- 52.7 deg, I = 5, hkl 3 3 1
- 59.9 deg, I = 37, hkl 4 2 2
- 70.4 deg, I = 11, hkl 4 4 0
- 80.3 deg, I = 16, hkl 6 2 0
- 89.8 deg, I = 4, hkl 4 4 4

Crystal structure
Lattice parameters (Å, degrees): 7.564 7.564 7.564 90.00 90.00 90.00
Space group F-43m (No. 216)
Asymmetric unit:
Na 0.000 0.000 0.000 x4
La 0.000 0.000 0.500 x4
Ag 0.250 0.250 0.750 x4
Sn 0.250 0.250 0.250 x4

# 4
Theoretical XRD peak list of La14Tc3Au6 for Cu Kα X-rays, from a PBE-relaxed structure.
Neutral-atom scattering factors, no anomalous dispersion.

Top 10 peaks for 2θ = 10–90°, by angle:
- 23.0 deg, I = 42, hkl 0 2 1
- 26.1 deg, I = 34, hkl 0 1 2
- 28.6 deg, I = 98, hkl 2 1 1
- 31.3 deg, I = 95, hkl 2 0 2
- 31.9 deg, I = 71, hkl 3 0 1
- 34.1 deg, I = 100, hkl 2 2 0
- 35.7 deg, I = 25, hkl 1 2 2
- 41.9 deg, I = 63, hkl 0 2 3
- 47.7 deg, I = 25, hkl 0 3 3
- 65.2 deg, I = 24, hkl 5 2 1

Crystal structure
Lattice parameters (Å, degrees): 10.5211 10.5211 7.3520 90.00 90.00 120.00
Space group P3m1 (No. 156)
Asymmetric unit:
La 0.0000 0.0000 0.0000 x1
La 0.0795 0.5398 0.2890 x3
La 0.2018 0.4036 0.7625 x3
La 0.2453 0.1227 0.4471 x3
La 0.4224 0.2112 0.9562 x3
La 0.6667 0.3333 0.5109 x1
Tc 0.0000 0.0000 0.6431 x1
Tc 0.3333 0.6667 0.5395 x1
Tc 0.6667 0.3333 0.1459 x1
Au 0.1481 0.2961 0.1729 x3
Au 0.5185 0.0370 0.6823 x3

# 5
Theoretical XRD peak list of NaZrP2O8 for Cu Kα X-rays, from a PBE-relaxed structure.
Neutral-atom scattering factors, no anomalous dispersion.

Top 10 peaks for 2θ = 10–90°, by angle:
- 18.4 deg, I = 30, hkl 1 1 0
- 19.9 deg, I = 29, hkl 1 0 1
- 26.2 deg, I = 100, hkl 2 0 0
- 35.7 deg, I = 48, hkl 1 1 2
- 40.4 deg, I = 19, hkl 2 0 2
- 42.7 deg, I = 18, hkl 3 0 1
- 50.8 deg, I = 14, hkl 3 2 1
- 52.6 deg, I = 46, hkl 3 1 2
- 53.9 deg, I = 15, hkl 4 0 0
- 66.3 deg, I = 17, hkl 3 3 2

Crystal structure
Lattice parameters (Å, degrees): 6.808 6.808 5.903 90.00 90.00 90.00
Space group I-4m2 (No. 119)
Asymmetric unit:
Na 0.000 0.000 0.000 x2
Zr 0.000 0.500 0.750 x2
P 0.000 0.000 0.500 x2
P 0.000 0.500 0.250 x2
O 0.000 0.186 0.652 x8
O 0.000 0.326 0.081 x8

# 6
Theoretical XRD peak list of Tm2NpRhO8 for Cu Kα X-rays, from a PBE-relaxed structure.
Neutral-atom scattering factors, no anomalous dispersion.

Top 10 peaks for 2θ = 10–90°, by angle:
- 22.4 deg, I = 13, hkl 1 1 1
- 24.8 deg, I = 62, hkl 0 2 0
- 25.7 deg, I = 54, hkl 2 0 0
- 32.6 deg, I = 100, hkl 1 1 2
- 36.0 deg, I = 32, hkl 2 2 0
- 48.9 deg, I = 42, hkl 1 3 2
- 49.9 deg, I = 37, hkl 3 1 2
- 55.8 deg, I = 10, hkl 0 0 4
- 62.6 deg, I = 23, hkl 3 3 2
- 68.3 deg, I = 11, hkl 2 2 4

Crystal structure
Lattice parameters (Å, degrees): 6.926 7.174 6.585 90.00 90.00 90.00
Space group Cmmm (No. 65)
Asymmetric unit:
Tm 0.000 0.000 0.240 x4
Np 0.000 0.500 0.500 x2
Rh 0.000 0.500 0.000 x2
O 0.000 0.317 0.250 x8
O 0.206 0.000 0.500 x4
O 0.213 0.000 0.000 x4

# 7
Theoretical XRD peak list of Ho5Sn2 for Cu Kα X-rays, from a PBE-relaxed structure.
Neutral-atom scattering factors, no anomalous dispersion.

Top 10 peaks for 2θ = 10–90°, by angle:
- 30.0 deg, I = 100, hkl 1 5 1
- 32.0 deg, I = 44, hkl 0 14 0
- 34.7 deg, I = 90, hkl 1 9 1
- 39.6 deg, I = 62, hkl 2 0 0
- 51.7 deg, I = 23, hkl 0 14 2
- 51.8 deg, I = 22, hkl 2 14 0
- 57.2 deg, I = 21, hkl 2 0 2
- 61.6 deg, I = 14, hkl 1 23 1
- 67.1 deg, I = 21, hkl 2 14 2
- 68.6 deg, I = 13, hkl 1 9 3

Crystal structure
Lattice parameters (Å, degrees): 4.551 39.148 4.560 90.00 90.00 90.00
Space group Cmcm (No. 63)
Asymmetric unit:
Ho 0.000 0.036 0.250 x4
Ho 0.000 0.110 0.750 x4
Ho 0.000 0.250 0.250 x4
Ho 0.000 0.324 0.750 x4
Ho 0.000 0.464 0.250 x4
Sn 0.000 0.190 0.750 x4
Sn 0.000 0.404 0.750 x4

# 8
Theoretical XRD peak list of Sr3Ir2 for Cu Kα X-rays, from a PBE-relaxed structure.
Neutral-atom scattering factors, no anomalous dispersion.

Top 10 peaks for 2θ = 10–90°, by angle:
- 14.1 deg, I = 13, hkl 0 0 1
- 20.0 deg, I = 17, hkl 1 0 0
- 24.6 deg, I = 13, hkl 1 0 1
- 35.0 deg, I = 100, hkl 1 1 0
- 38.0 deg, I = 7, hkl 1 1 1
- 50.4 deg, I = 19, hkl 0 2 2
- 62.8 deg, I = 29, hkl 2 1 2
- 62.9 deg, I = 9, hkl 3 0 0
- 74.0 deg, I = 11, hkl 2 2 0
- 84.6 deg, I = 17, hkl 1 3 2

Crystal structure
Lattice parameters (Å, degrees): 5.1202 5.1202 6.2817 90.00 90.00 120.00
Space group P-3m1 (No. 164)
Asymmetric unit:
Sr 0.0000 0.0000 0.0000 x1
Sr 0.3333 0.6667 0.3318 x2
Ir 0.3333 0.6667 0.8369 x2

# 9
Theoretical XRD peak list of Ac2PmTcO8 for Cu Kα X-rays, from a PBE-relaxed structure.
Neutral-atom scattering factors, no anomalous dispersion.

Top 10 peaks for 2θ = 10–90°, by angle:
- 23.3 deg, I = 59, hkl 1 0 -1
- 23.6 deg, I = 53, hkl 1 0 1
- 30.1 deg, I = 100, hkl 0 2 1
- 33.2 deg, I = 16, hkl 0 0 2
- 33.5 deg, I = 16, hkl 2 0 0
- 45.3 deg, I = 21, hkl 1 2 -2
- 45.5 deg, I = 20, hkl 2 2 -1
- 45.6 deg, I = 18, hkl 1 2 2
- 45.8 deg, I = 18, hkl 2 2 1
- 77.6 deg, I = 11, hkl 1 4 3

Crystal structure
Lattice parameters (Å, degrees): 5.344 7.141 5.391 90.00 90.75 90.00
Space group P2/m (No. 10)
Asymmetric unit:
Ac 0.000 0.243 0.000 x2
Pm 0.500 0.500 0.500 x1
Tc 0.500 0.000 0.500 x1
O 0.196 0.500 0.199 x2
O 0.249 0.000 0.255 x2
O 0.331 0.201 0.672 x4

# 10
Theoretical XRD peak list of KNaPb for Cu Kα X-rays, from a PBE-relaxed structure.
Neutral-atom scattering factors, no anomalous dispersion.

Top 10 peaks for 2θ = 10–90°, by angle:
- 12.7 deg, I = 50, hkl 1 1 0
- 15.5 deg, I = 72, hkl 0 2 0
- 16.0 deg, I = 47, hkl 0 0 1
- 20.5 deg, I = 33, hkl 1 1 1
- 22.3 deg, I = 100, hkl 0 2 1
- 25.4 deg, I = 38, hkl 1 3 0
- 31.4 deg, I = 35, hkl 3 1 0
- 35.4 deg, I = 52, hkl 3 1 1
- 42.1 deg, I = 45, hkl 3 3 1
- 45.6 deg, I = 42, hkl 0 4 2

Crystal structure
Lattice parameters (Å, degrees): 8.833 11.446 5.538 90.00 90.00 90.00
Space group Cmmm (No. 65)
Asymmetric unit:
K 0.000 0.208 0.000 x4
Na 0.000 0.000 0.500 x2
Na 0.000 0.500 0.000 x2
Pb 0.166 0.500 0.500 x4

# 11
Theoretical XRD peak list of PF5 for Cu Kα X-rays, from a PBE-relaxed structure.
Neutral-atom scattering factors, no anomalous dispersion.

Top 10 peaks for 2θ = 10–90°, by angle:
- 20.4 deg, I = 73, hkl 1 1 0
- 24.3 deg, I = 100, hkl 1 0 1
- 29.0 deg, I = 19, hkl 2 0 0
- 38.2 deg, I = 33, hkl 1 2 1
- 39.7 deg, I = 23, hkl 0 0 2
- 46.6 deg, I = 21, hkl 3 1 0
- 60.0 deg, I = 9, hkl 4 0 0
- 62.8 deg, I = 9, hkl 3 1 2
- 65.7 deg, I = 12, hkl 4 1 1
- 71.0 deg, I = 8, hkl 1 2 3

Crystal structure
Lattice parameters (Å, degrees): 6.167 6.167 4.545 90.00 90.00 90.00
Space group I4 (No. 79)
Asymmetric unit:
P 0.000 0.000 0.000 x2
F 0.000 0.000 0.659 x2
F 0.052 0.753 0.073 x8

# 12
Theoretical XRD peak list of NaMgBN2 for Cu Kα X-rays, from a PBE-relaxed structure.
Neutral-atom scattering factors, no anomalous dispersion.

Top 10 peaks for 2θ = 10–90°, by angle:
- 17.7 deg, I = 47, hkl 1 0 0
- 26.0 deg, I = 71, hkl 1 1 0
- 30.0 deg, I = 21, hkl 1 1 -1
- 30.1 deg, I = 19, hkl 1 1 1
- 35.8 deg, I = 20, hkl 2 0 0
- 40.1 deg, I = 100, hkl 1 1 2
- 47.4 deg, I = 25, hkl 2 0 2
- 49.4 deg, I = 32, hkl 0 2 2
- 53.5 deg, I = 26, hkl 2 2 0
- 67.2 deg, I = 16, hkl 3 1 2

Crystal structure
Lattice parameters (Å, degrees): 5.013 4.699 5.963 90.00 90.08 90.00
Space group P2/c (No. 13)
Asymmetric unit:
Na 0.000 0.002 0.250 x2
Mg 0.500 0.500 0.250 x2
B 0.500 0.000 0.000 x2
N 0.337 0.229 0.000 x4